Starting from a cell relaxed with GGA+U, the X-ray diffraction stick pattern of MgV6O5F19 was computed for Cu Kα (weighted mean of Kα1 and Kα2).
Intensities are scaled so that the largest is 100.

The 6 most intense peaks (2θ from 15° to 90°), by angle:
- (0 0 3), 2θ = 17.31°, I = 100
- (1 1 -1), 2θ = 24.61°, I = 92
- (1 -1 1), 2θ = 24.87°, I = 92
- (0 0 6), 2θ = 35.02°, I = 19
- (-2 2 1), 2θ = 47.60°, I = 19
- (1 1 8), 2θ = 50.42°, I = 18

Cell and atoms:
```
data_MgV6O5F19
_chemical_formula_sum 'Mg1 V6 O5 F19'
_symmetry_space_group_name_H-M 'P 1'
_symmetry_Int_Tables_number 1
_symmetry_space_group_name_Hall 'P 1'
_cell_length_a 5.4150
_cell_length_b 5.4577
_cell_length_c 15.5945
_cell_angle_alpha 80.18
_cell_angle_beta 89.77
_cell_angle_gamma 89.31
loop_
_atom_site_label
_atom_site_type_symbol
_atom_site_fract_x
_atom_site_fract_y
_atom_site_fract_z
Mg1 Mg 0.0000 0.0000 0.0000
V1 V 0.2397 0.7761 0.8357
V2 V 0.2595 0.1495 0.1982
V3 V 0.2876 0.5525 0.5155
V4 V 0.7057 0.2786 0.8297
V5 V 0.7285 0.6726 0.1972
V6 V 0.7384 0.0506 0.5149
O1 O 0.0810 0.5223 0.8549
O2 O 0.4536 0.1098 0.8254
O3 O 0.4695 0.7962 0.4976
O4 O 0.5099 0.9083 0.1866
O5 O 0.5534 0.2964 0.4950
F1 F 0.0129 0.8878 0.2170
F2 F 0.0274 0.1866 0.5382
F3 F 0.1841 0.8719 0.7245
F4 F 0.1917 0.5208 0.4098
F5 F 0.1928 0.1679 0.0754
F6 F 0.2752 0.8066 0.9556
F7 F 0.3002 0.1318 0.3099
F8 F 0.3427 0.4225 0.6262
F9 F 0.4953 0.4146 0.1679
F10 F 0.5475 0.6193 0.8274
F11 F 0.6797 0.9314 0.6262
F12 F 0.7134 0.5418 0.3106
F13 F 0.7523 0.2521 0.9553
F14 F 0.8223 0.7480 0.0717
F15 F 0.8287 0.0036 0.4097
F16 F 0.8404 0.3794 0.7248
F17 F 0.9538 0.9946 0.8584
F18 F 0.9962 0.6884 0.5419
F19 F 0.9992 0.3989 0.1930
```